Pm2SmErBi4: theoretical XRD peak list (copper Kα), based on a structure optimized by DFT (GGA-PBE).

Top 10 peaks for 10° ≤ 2θ ≤ 80°, in order of rising 2θ:
| two_theta | I_rel | h k l |
| --- | --- | --- |
| 24.00 | 4 | 1 1 -1 |
| 27.78 | 100 | 1 1 1 |
| 39.69 | 78 | 0 2 0 |
| 46.91 | 2 | 0 2 2 |
| 49.13 | 29 | 2 2 -2 |
| 57.38 | 14 | 2 2 2 |
| 63.08 | 1 | 1 3 -1 |
| 64.92 | 37 | 1 3 1 |
| 72.02 | 28 | 1 3 -3 |
| 77.16 | 1 | 3 3 -3 |

Cell and atoms:
```
data_Pm2SmErBi4
_chemical_formula_sum 'Pm2 Sm1 Er1 Bi4'
_symmetry_space_group_name_H-M 'P 1 2/m 1'
_symmetry_Int_Tables_number 10
_cell_length_a 7.864
_cell_length_b 4.545
_cell_length_c 7.866
_cell_angle_alpha 90.00
_cell_angle_beta 109.49
_cell_angle_gamma 90.00
loop_
_symmetry_equiv_pos_as_xyz
'x,y,z'
'-x,-y,-z'
'-x,y,-z'
'x,-y,z'
loop_
_atom_site_label
_atom_site_type_symbol
_atom_site_fract_x
_atom_site_fract_y
_atom_site_fract_z
Pm1 Pm 0.000 0.000 0.000
Pm2 Pm 0.000 0.500 0.500
Sm1 Sm 0.500 0.000 0.500
Er1 Er 0.500 0.500 0.000
Bi1 Bi 0.254 0.500 0.248
Bi2 Bi 0.256 0.000 0.756
```

***

Y6Tm3Sc2: theoretical XRD peak list (copper Kα), based on a structure optimized by DFT (GGA-PBE).

Top 10 peaks for 10° ≤ 2θ ≤ 80°, in order of rising 2θ:
| two_theta | I_rel | h k l |
| --- | --- | --- |
| 31.30 | 100 | 0 1 11 |
| 31.53 | 32 | 0 0 33 |
| 36.36 | 66 | 1 0 22 |
| 52.22 | 25 | 1 1 0 |
| 52.52 | 21 | 0 1 44 |
| 62.15 | 14 | 2 0 11 |
| 62.29 | 26 | 1 1 33 |
| 62.56 | 13 | 1 0 55 |
| 65.30 | 11 | 0 2 22 |
| 77.23 | 7 | 2 0 44 |

Cell and atoms:
```
data_Y6Tm3Sc2
_chemical_formula_sum 'Y18 Tm9 Sc6'
_symmetry_space_group_name_H-M 'R -3 m'
_symmetry_Int_Tables_number 166
_symmetry_space_group_name_Hall '-R 3 2"'
_cell_length_a 3.5034
_cell_length_b 3.5034
_cell_length_c 93.6362
_cell_angle_alpha 90.00
_cell_angle_beta 90.00
_cell_angle_gamma 120.00
loop_
_atom_site_label
_atom_site_type_symbol
_atom_site_fract_x
_atom_site_fract_y
_atom_site_fract_z
Y1 Y 0.0000 0.0000 0.0926
Y2 Y 0.0000 0.0000 0.1826
Y3 Y 0.0000 0.0000 0.3642
Tm1 Tm 0.0000 0.0000 0.0000
Tm2 Tm 0.0000 0.0000 0.2717
Sc1 Sc 0.0000 0.0000 0.4550
```